The following is a simulated XRD peak list of In2GaBr2. It was derived from the GGA-PBE geometry in Alexandria, using Cu Kα (weighted mean of Kα1 and Kα2).
Intensities are scaled so that the largest is 100.

Top 10 peaks for 2θ from 10° to 90°, sorted by position:
(1 0 1), 18.55°, intensity 100; (1 1 -2), 27.59°, intensity 82; (1 1 3), 27.94°, intensity 65; (1 0 3), 28.78°, intensity 66; (1 -1 1), 29.74°, intensity 75; (1 2 0), 30.24°, intensity 71; (-1 1 1), 30.40°, intensity 65; (1 2 2), 31.91°, intensity 89; (1 -1 2), 32.86°, intensity 66; (0 2 1), 33.26°, intensity 71

Structure:
a = 5.5747 Å, b = 6.0541 Å, c = 10.8940 Å
α = 80.78°, β = 78.69°, γ = 64.52°
Space group P1 (No. 1)
Inequivalent atoms, fractional coordinates:
In 0.0000 0.0000 0.0000 [1 per cell]
In 0.0481 0.4484 0.1119 [1 per cell]
In 0.4345 0.6604 0.6464 [1 per cell]
In 0.8058 0.6683 0.3869 [1 per cell]
Ga 0.1171 0.4649 0.8389 [1 per cell]
Ga 0.5218 0.4448 0.1804 [1 per cell]
Br 0.2790 0.9127 0.2519 [1 per cell]
Br 0.5171 0.2792 0.4185 [1 per cell]
Br 0.5827 0.8035 0.8671 [1 per cell]
Br 0.9601 0.2102 0.7149 [1 per cell]